[1]
Diffraction record for La2NdDySc. The XRD peak list is calculated, not measured: it uses a GGA-PBE-relaxed structure and Cu Kα (λ = 1.5418 Å).
Neutral-atom scattering factors, no anomalous dispersion.

Structural model:
```
data_La2NdDySc
_space_group_name_H-M_alt 'P 1'
_space_group_IT_number 1
_space_group_name_Hall 'P 1'
_cell_length_a 7.130
_cell_length_b 7.130
_cell_length_c 7.295
_cell_angle_alpha 90.00
_cell_angle_beta 90.00
_cell_angle_gamma 108.79
loop_
_atom_site_label
_atom_site_type_symbol
_atom_site_fract_x
_atom_site_fract_y
_atom_site_fract_z
La1 La 0.199 0.199 0.000
La2 La 0.199 0.199 0.500
La3 La 0.801 0.801 0.000
La4 La 0.801 0.801 0.500
Nd1 Nd 0.230 0.770 0.750
Nd2 Nd 0.770 0.230 0.250
Dy1 Dy 0.248 0.752 0.250
Dy2 Dy 0.752 0.248 0.750
Sc1 Sc 0.488 0.512 0.750
Sc2 Sc 0.512 0.488 0.250
```

Top 10 peaks for 2θ = 10–90°, most intense first:
2theta	d (Å)	I (rel.)
26.41	3.375	100
28.92	3.087	99
32.68	2.740	83
45.56	1.991	61
30.85	2.899	54
57.43	1.605	23
33.29	2.692	16
59.92	1.544	16
40.08	2.250	16
53.68	1.708	16



[2]
Diffraction record for La5NdDy2Sc. The XRD peak list is calculated, not measured: it uses a GGA-PBE-relaxed structure and Cu Kα (λ = 1.5418 Å).
Neutral-atom scattering factors, no anomalous dispersion.

Structural model:
```
data_La5NdDy2Sc
_space_group_name_H-M_alt 'P 1'
_space_group_IT_number 1
_space_group_name_Hall 'P 1'
_cell_length_a 8.077
_cell_length_b 8.077
_cell_length_c 9.761
_cell_angle_alpha 90.00
_cell_angle_beta 90.00
_cell_angle_gamma 90.00
loop_
_atom_site_label
_atom_site_type_symbol
_atom_site_fract_x
_atom_site_fract_y
_atom_site_fract_z
La1 La 0.000 0.000 0.000
La2 La 0.207 0.293 0.270
La3 La 0.207 0.293 0.730
La4 La 0.293 0.793 0.270
La5 La 0.293 0.793 0.730
La6 La 0.500 0.500 0.000
La7 La 0.707 0.207 0.270
La8 La 0.707 0.207 0.730
La9 La 0.793 0.707 0.270
La10 La 0.793 0.707 0.730
Nd1 Nd 0.000 0.000 0.500
Nd2 Nd 0.500 0.500 0.500
Dy1 Dy 0.129 0.629 0.000
Dy2 Dy 0.371 0.129 0.000
Dy3 Dy 0.629 0.871 0.000
Dy4 Dy 0.871 0.371 0.000
Sc1 Sc 0.000 0.500 0.500
Sc2 Sc 0.500 0.000 0.500
```

Top 10 peaks for 2θ = 10–90°, most intense first:
2theta	d (Å)	I (rel.)
28.69	3.111	100
30.80	2.903	70
31.32	2.856	36
26.31	3.388	30
36.83	2.440	28
35.13	2.554	26
49.11	1.855	18
54.15	1.694	18
51.82	1.764	17
50.18	1.818	16



Repeat the first record exactly.
Diffraction record for La2NdDySc. The XRD peak list is calculated, not measured: it uses a GGA-PBE-relaxed structure and Cu Kα (λ = 1.5418 Å).
Neutral-atom scattering factors, no anomalous dispersion.

Structural model:
```
data_La2NdDySc
_space_group_name_H-M_alt 'P 1'
_space_group_IT_number 1
_space_group_name_Hall 'P 1'
_cell_length_a 7.130
_cell_length_b 7.130
_cell_length_c 7.295
_cell_angle_alpha 90.00
_cell_angle_beta 90.00
_cell_angle_gamma 108.79
loop_
_atom_site_label
_atom_site_type_symbol
_atom_site_fract_x
_atom_site_fract_y
_atom_site_fract_z
La1 La 0.199 0.199 0.000
La2 La 0.199 0.199 0.500
La3 La 0.801 0.801 0.000
La4 La 0.801 0.801 0.500
Nd1 Nd 0.230 0.770 0.750
Nd2 Nd 0.770 0.230 0.250
Dy1 Dy 0.248 0.752 0.250
Dy2 Dy 0.752 0.248 0.750
Sc1 Sc 0.488 0.512 0.750
Sc2 Sc 0.512 0.488 0.250
```

Top 10 peaks for 2θ = 10–90°, most intense first:
2theta	d (Å)	I (rel.)
26.41	3.375	100
28.92	3.087	99
32.68	2.740	83
45.56	1.991	61
30.85	2.899	54
57.43	1.605	23
33.29	2.692	16
59.92	1.544	16
40.08	2.250	16
53.68	1.708	16